Record 1
Theoretical XRD peak list of Zn3AgIr2 for Cu Kα (λ = 1.5418 Å), from DFT lattice parameters and positions (GGA-PBE).

Peak list (10 most intense, 2θ from 15° to 90°, by angle)
- 28.9 deg, intensity 8.2
- 29.1 deg, intensity 16.0
- 41.4 deg, intensity 100.0
- 41.9 deg, intensity 20.0
- 59.8 deg, intensity 6.8
- 60.3 deg, intensity 12.5
- 75.4 deg, intensity 6.4
- 75.5 deg, intensity 11.8
- 75.7 deg, intensity 6.8
- 76.2 deg, intensity 13.1

Atomic structure:
```
data_Zn3AgIr2
_chemical_formula_sum 'Zn6 Ag2 Ir4'
_cell_length_a 4.3170
_cell_length_b 13.0867
_cell_length_c 3.0918
_cell_angle_alpha 90.00
_cell_angle_beta 90.00
_cell_angle_gamma 90.00
_space_group_name_H-M_alt 'C m m m'
_space_group_IT_number 65
_space_group_name_Hall '-C 2 2'
loop_
_atom_site_label
_atom_site_type_symbol
_atom_site_fract_x
_atom_site_fract_y
_atom_site_fract_z
Zn1 Zn 0.0000 0.0000 0.0000
Zn2 Zn 0.0000 0.3235 0.0000
Ag1 Ag 0.0000 0.5000 0.5000
Ir1 Ir 0.0000 0.1599 0.5000
```


Record 2
Theoretical XRD peak list of ZnSbPd6 for Cu Kα (λ = 1.5418 Å), from DFT lattice parameters and positions (GGA-PBE).

Peak list (10 most intense, 2θ from 15° to 90°, by angle)
- 33.9 deg, intensity 23.3
- 39.0 deg, intensity 98.8
- 39.4 deg, intensity 42.1
- 40.0 deg, intensity 69.0
- 40.3 deg, intensity 100.0
- 40.6 deg, intensity 47.8
- 42.5 deg, intensity 21.8
- 42.8 deg, intensity 29.7
- 44.8 deg, intensity 24.7
- 47.0 deg, intensity 27.4

Atomic structure:
```
data_ZnSbPd6
_chemical_formula_sum 'Zn1 Sb1 Pd6'
_cell_length_a 4.6251
_cell_length_b 5.3639
_cell_length_c 5.4470
_cell_angle_alpha 99.97
_cell_angle_beta 90.43
_cell_angle_gamma 90.39
_space_group_name_H-M_alt 'P -1'
_space_group_IT_number 2
_space_group_name_Hall '-P 1'
loop_
_atom_site_label
_atom_site_type_symbol
_atom_site_fract_x
_atom_site_fract_y
_atom_site_fract_z
Zn1 Zn 0.0000 0.0000 0.0000
Sb1 Sb 0.5000 0.5000 0.5000
Pd1 Pd 0.0119 0.4596 0.7508
Pd2 Pd 0.2491 0.9357 0.5876
Pd3 Pd 0.4890 0.7502 0.0162
```


Record 3
Theoretical XRD peak list of Cs2BeBCl6 for Cu Kα (λ = 1.5418 Å), from DFT lattice parameters and positions (GGA-PBE).

Peak list (10 most intense, 2θ from 15° to 90°, by angle)
- 16.1 deg, intensity 27.8
- 22.9 deg, intensity 32.0
- 24.3 deg, intensity 63.9
- 29.3 deg, intensity 100.0
- 32.6 deg, intensity 44.5
- 36.5 deg, intensity 28.7
- 40.2 deg, intensity 17.5
- 41.0 deg, intensity 18.9
- 52.6 deg, intensity 34.8
- 56.1 deg, intensity 18.3

Atomic structure:
```
data_Cs2BeBCl6
_chemical_formula_sum 'Cs4 Be2 B2 Cl12'
_cell_length_a 7.7752
_cell_length_b 7.7752
_cell_length_c 9.8408
_cell_angle_alpha 90.00
_cell_angle_beta 90.00
_cell_angle_gamma 90.00
_space_group_name_H-M_alt 'I 4/m m m'
_space_group_IT_number 139
_space_group_name_Hall '-I 4 2'
loop_
_atom_site_label
_atom_site_type_symbol
_atom_site_fract_x
_atom_site_fract_y
_atom_site_fract_z
Cs1 Cs 0.0000 0.5000 0.2500
Be1 Be 0.0000 0.0000 0.0000
B1 B 0.0000 0.0000 0.5000
Cl1 Cl 0.0000 0.0000 0.3288
Cl2 Cl 0.1961 0.1961 0.0000
```


Record 4
Theoretical XRD peak list of Tb10Bi3Pb3 for Cu Kα (λ = 1.5418 Å), from DFT lattice parameters and positions (GGA-PBE).

Peak list (10 most intense, 2θ from 15° to 90°, by angle)
- 27.3 deg, intensity 23.1
- 29.8 deg, intensity 24.0
- 32.8 deg, intensity 100.0
- 33.7 deg, intensity 71.9
- 33.9 deg, intensity 43.5
- 43.4 deg, intensity 17.3
- 48.5 deg, intensity 16.4
- 51.9 deg, intensity 27.9
- 58.0 deg, intensity 14.8
- 65.4 deg, intensity 23.4

Atomic structure:
```
data_Tb10Bi3Pb3
_chemical_formula_sum 'Tb10 Bi3 Pb3'
_cell_length_a 9.1707
_cell_length_b 9.1707
_cell_length_c 6.5244
_cell_angle_alpha 90.00
_cell_angle_beta 90.00
_cell_angle_gamma 120.00
_space_group_name_H-M_alt 'P -6 2 m'
_space_group_IT_number 189
_space_group_name_Hall 'P -6 -2'
loop_
_atom_site_label
_atom_site_type_symbol
_atom_site_fract_x
_atom_site_fract_y
_atom_site_fract_z
Tb1 Tb 0.0000 0.2399 0.0000
Tb2 Tb 0.0000 0.7601 0.5000
Tb3 Tb 0.3333 0.6667 0.2512
Bi1 Bi 0.0000 0.6083 0.0000
Pb1 Pb 0.0000 0.3916 0.5000
```